# 1
# PmY2Al3
Theoretical powder X-ray diffraction pattern, a wavelength of 1.5418 Å. Input: a structure optimized by DFT (GGA-PBE).

Peak list (10 most intense, 10° ≤ 2θ ≤ 90°, low angle first)
two_theta	I/Imax
24.30	23.2
24.57	45.1
34.83	100.0
35.02	49.5
43.09	20.2
50.37	17.3
56.29	9.2
62.33	17.7
62.70	35.2
73.54	10.7

Atomic structure:
```
6
Lattice="3.623 0.000 0.000 0.000 3.623 0.000 0.000 0.000 10.987" Properties=species:S:1:pos:R:3 pbc="T T T"
Pm 0.000 0.000 0.000
Y 0.000 0.000 3.700
Y 0.000 0.000 7.287
Al 1.812 1.812 1.926
Al 1.812 1.812 5.493
Al 1.812 1.812 9.061
```

# 2
# Pm6AlZn2
Theoretical powder X-ray diffraction pattern, a wavelength of 1.5418 Å. Input: a structure optimized by DFT (GGA-PBE).

Peak list (10 most intense, 10° ≤ 2θ ≤ 90°, low angle first)
two_theta	I/Imax
24.90	34.1
27.88	21.1
28.06	24.9
30.65	100.0
33.11	65.0
33.26	83.0
35.43	55.0
39.87	20.4
56.07	27.2
57.56	17.3

Atomic structure:
```
18
Lattice="-5.024 5.064 5.067 5.024 -5.064 5.067 5.024 5.064 -5.067" Properties=species:S:1:pos:R:3 pbc="T T T"
Pm 5.024 3.254 -2.800
Pm 3.000 2.502 0.000
Pm 7.048 2.502 0.000
Pm 3.210 0.000 2.690
Pm 6.838 0.000 2.690
Pm 0.000 1.810 2.268
Pm 5.024 3.254 2.800
Pm -1.814 5.064 2.378
Pm 1.814 5.064 2.378
Pm -2.024 2.562 5.067
Pm 2.024 2.562 5.067
Pm 0.000 1.810 7.867
Al 5.024 0.000 0.000
Al 0.000 0.000 5.067
Zn 1.337 0.000 0.000
Zn 8.711 0.000 0.000
Zn 0.000 3.788 0.000
Zn 0.000 6.339 0.000
```

# 3
# PmAl2Zn3
Theoretical powder X-ray diffraction pattern, a wavelength of 1.5418 Å. Input: a structure optimized by DFT (GGA-PBE).

Peak list (10 most intense, 10° ≤ 2θ ≤ 90°, low angle first)
two_theta	I/Imax
31.18	80.2
31.55	84.4
32.94	25.2
33.25	100.0
36.48	51.6
42.57	29.3
43.62	81.9
48.75	32.3
54.82	34.9
63.39	26.0

Atomic structure:
```
12
Lattice="-2.075 2.075 13.597 2.075 -2.075 13.597 2.075 2.075 -13.597" Properties=species:S:1:pos:R:3 pbc="T T T"
Pm 0.000 0.000 4.043
Pm 0.000 0.000 23.151
Al 2.075 0.000 6.799
Al 0.000 0.000 10.836
Al 0.000 0.000 16.359
Al 0.000 2.075 6.799
Zn 2.075 0.000 1.235
Zn 0.000 0.000 8.361
Zn 2.075 0.000 12.362
Zn 0.000 2.075 1.235
Zn 0.000 0.000 18.834
Zn 0.000 2.075 12.362
```

# 4
# Pm3AlZn8
Theoretical powder X-ray diffraction pattern, a wavelength of 1.5418 Å. Input: a structure optimized by DFT (GGA-PBE).

Peak list (10 most intense, 10° ≤ 2θ ≤ 90°, low angle first)
two_theta	I/Imax
32.37	49.7
32.90	43.9
38.18	57.4
38.41	100.0
38.87	55.5
40.03	46.7
61.79	24.0
62.11	27.1
67.76	27.6
68.99	22.3

Atomic structure:
```
12
Lattice="2.766 1.597 8.823 -2.766 1.597 8.823 0.000 -3.194 8.823" Properties=species:S:1:pos:R:3 pbc="T T T"
Pm 0.000 0.000 0.000
Pm 0.000 0.000 3.344
Pm 0.000 0.000 16.246
Al 0.000 0.000 12.974
Zn -1.389 -0.802 10.441
Zn 0.000 -1.589 5.996
Zn -1.376 0.794 5.996
Zn 0.000 0.000 8.252
Zn 1.376 0.794 5.996
Zn 1.389 -0.802 10.441
Zn 0.000 1.604 10.441
Zn 0.000 0.000 21.419
```

# 5
# Pm3Al2Zn
Theoretical powder X-ray diffraction pattern, a wavelength of 1.5418 Å. Input: a structure optimized by DFT (GGA-PBE).

Peak list (10 most intense, 10° ≤ 2θ ≤ 90°, low angle first)
two_theta	I/Imax
23.71	19.5
24.32	36.9
34.22	100.0
34.66	48.6
42.43	17.1
48.53	9.1
49.83	17.3
61.00	18.3
61.84	35.7
72.10	11.1

Atomic structure:
```
6
Lattice="3.660 0.000 0.000 0.000 3.660 0.000 0.000 0.000 11.256" Properties=species:S:1:pos:R:3 pbc="T T T"
Pm 0.000 0.000 0.000
Pm 0.000 0.000 3.808
Pm 0.000 0.000 7.448
Al 1.830 1.830 1.926
Al 1.830 1.830 9.330
Zn 1.830 1.830 5.628
```

# 6
# PmAl6Zn12
Theoretical powder X-ray diffraction pattern, a wavelength of 1.5418 Å. Input: a structure optimized by DFT (GGA-PBE).

Peak list (10 most intense, 10° ≤ 2θ ≤ 90°, low angle first)
two_theta	I/Imax
21.24	12.9
33.09	67.1
34.57	100.0
40.30	22.4
41.55	16.2
43.25	28.7
45.03	32.7
50.53	18.4
50.82	38.2
80.50	13.4

Atomic structure:
```
19
Lattice="5.626 3.248 3.088 -5.626 3.248 3.088 0.000 -6.497 3.088" Properties=species:S:1:pos:R:3 pbc="T T T"
Pm 0.000 0.000 0.000
Al -2.301 -1.328 5.198
Al 0.000 -2.657 4.066
Al -2.301 1.328 4.066
Al 2.301 -1.328 5.198
Al 0.000 2.657 5.198
Al 2.301 1.328 4.066
Zn -2.213 -3.833 4.632
Zn -4.425 0.000 4.632
Zn -1.366 -0.789 2.678
Zn 1.366 -0.789 2.678
Zn 0.000 1.577 2.678
Zn 2.213 -3.833 4.632
Zn -2.213 3.833 4.632
Zn 0.000 -1.577 6.586
Zn -1.366 0.789 6.586
Zn 1.366 0.789 6.586
Zn 4.425 0.000 4.632
Zn 2.213 3.833 4.632
```

# 7
# Pm3Al2Zn3
Theoretical powder X-ray diffraction pattern, a wavelength of 1.5418 Å. Input: a structure optimized by DFT (GGA-PBE).

Peak list (10 most intense, 10° ≤ 2θ ≤ 90°, low angle first)
two_theta	I/Imax
22.10	20.9
24.38	32.6
32.19	100.0
32.37	64.1
33.26	27.7
34.38	18.1
36.69	18.5
39.78	35.4
40.14	23.3
53.08	18.2

Atomic structure:
```
16
Lattice="2.266 -5.388 0.000 2.266 5.388 0.000 0.000 0.000 14.908" Properties=species:S:1:pos:R:3 pbc="T T T"
Pm 2.266 4.373 9.077
Pm 2.266 4.373 13.285
Pm 2.266 1.255 11.181
Pm 2.266 -1.255 3.727
Pm 2.266 -4.373 1.623
Pm 2.266 -4.373 5.831
Al 2.266 3.210 1.446
Al 2.266 3.210 6.008
Al 2.266 -3.210 8.900
Al 2.266 -3.210 13.462
Zn 2.266 1.903 3.727
Zn 2.266 1.219 7.978
Zn 2.266 1.219 14.384
Zn 2.266 -1.219 0.524
Zn 2.266 -1.219 6.930
Zn 2.266 -1.903 11.181
```

# 8
# Pm8Al2Zn
Theoretical powder X-ray diffraction pattern, a wavelength of 1.5418 Å. Input: a structure optimized by DFT (GGA-PBE).

Peak list (10 most intense, 10° ≤ 2θ ≤ 90°, low angle first)
two_theta	I/Imax
23.64	12.3
25.29	20.3
31.71	22.1
31.89	28.1
32.83	100.0
35.16	29.3
36.96	18.2
48.07	13.9
51.93	18.0
61.62	16.3

Atomic structure:
```
11
Lattice="-2.552 4.314 7.296 2.552 -4.314 7.296 2.552 4.314 -7.296" Properties=species:S:1:pos:R:3 pbc="T T T"
Pm 2.552 2.409 -2.308
Pm 0.000 0.000 2.033
Pm 0.000 2.780 0.000
Pm 2.552 2.409 2.308
Pm 0.000 1.905 4.987
Pm 0.000 5.849 0.000
Pm 0.000 0.000 12.559
Pm 0.000 1.905 9.604
Al 2.552 0.000 4.440
Al 0.000 4.314 2.856
Zn 2.552 0.000 0.000
```

# 9
# Pm2Al3Zn4
Theoretical powder X-ray diffraction pattern, a wavelength of 1.5418 Å. Input: a structure optimized by DFT (GGA-PBE).

Peak list (10 most intense, 10° ≤ 2θ ≤ 90°, low angle first)
two_theta	I/Imax
19.86	16.4
22.94	19.2
28.17	16.2
32.65	39.6
34.76	100.0
36.58	47.2
38.58	52.3
41.96	18.5
56.96	15.3
57.10	15.8

Atomic structure:
```
18
Lattice="2.920 -7.752 0.000 2.920 7.752 0.000 0.000 0.000 7.775" Properties=species:S:1:pos:R:3 pbc="T T T"
Pm 2.920 6.105 7.015
Pm 2.920 1.646 3.128
Pm 2.920 -1.646 4.646
Pm 2.920 -6.105 0.759
Al 0.000 0.000 3.887
Al 1.460 3.579 5.831
Al 1.460 -3.579 1.944
Al 2.920 0.000 0.000
Al 4.380 3.579 5.831
Al 4.380 -3.579 1.944
Zn 2.920 5.035 4.012
Zn 1.460 1.003 5.831
Zn 1.460 -1.003 1.944
Zn 2.920 2.717 0.125
Zn 2.920 -2.717 7.649
Zn 4.380 1.003 5.831
Zn 4.380 -1.003 1.944
Zn 2.920 -5.035 3.762
```

# 10
# PmAl4Zn12
Theoretical powder X-ray diffraction pattern, a wavelength of 1.5418 Å. Input: a structure optimized by DFT (GGA-PBE).

Peak list (10 most intense, 10° ≤ 2θ ≤ 90°, low angle first)
two_theta	I/Imax
20.17	7.8
32.14	100.0
38.24	46.3
50.79	15.4
53.02	44.5
63.37	12.9
72.84	11.8
74.67	7.3
83.62	9.4
87.15	9.0

Atomic structure:
```
17
Lattice="-4.403 4.403 4.403 4.403 -4.403 4.403 4.403 4.403 -4.403" Properties=species:S:1:pos:R:3 pbc="T T T"
Pm 0.000 0.000 0.000
Al 2.202 2.202 -2.202
Al 2.202 -2.202 2.202
Al -2.202 2.202 2.202
Al 2.202 2.202 2.202
Zn 3.128 0.000 1.302
Zn 5.679 0.000 1.302
Zn 4.403 3.101 -1.276
Zn 1.302 3.128 0.000
Zn 3.101 -1.276 4.403
Zn 4.403 3.101 1.276
Zn 0.000 1.302 3.128
Zn 1.302 5.679 0.000
Zn 3.101 1.276 4.403
Zn 0.000 1.302 5.679
Zn -1.276 4.403 3.101
Zn 1.276 4.403 3.101
```

# 11
# Pm2AlZn2
Theoretical powder X-ray diffraction pattern, a wavelength of 1.5418 Å. Input: a structure optimized by DFT (GGA-PBE).

Peak list (10 most intense, 10° ≤ 2θ ≤ 90°, low angle first)
two_theta	I/Imax
17.86	12.6
25.36	13.2
31.89	23.3
34.42	100.0
38.58	19.8
40.62	17.2
53.84	10.5
57.26	12.3
57.60	15.6
67.14	13.9

Atomic structure:
```
10
Lattice="7.024 0.000 0.000 0.000 7.024 0.000 0.000 0.000 4.668" Properties=species:S:1:pos:R:3 pbc="T T T"
Pm 1.233 2.279 0.000
Pm 2.279 5.791 0.000
Pm 4.745 1.233 0.000
Pm 5.791 4.745 0.000
Al 0.000 0.000 2.334
Al 3.512 3.512 2.334
Zn 0.907 4.419 2.334
Zn 2.605 0.907 2.334
Zn 4.419 6.117 2.334
Zn 6.117 2.605 2.334
```

# 12
# PmAlZn4
Theoretical powder X-ray diffraction pattern, a wavelength of 1.5418 Å. Input: a structure optimized by DFT (GGA-PBE).

Peak list (10 most intense, 10° ≤ 2θ ≤ 90°, low angle first)
two_theta	I/Imax
22.85	23.5
27.63	19.1
32.13	24.5
34.21	68.1
34.64	58.9
36.51	93.0
38.01	100.0
51.17	27.5
52.36	24.4
70.63	16.6

Atomic structure:
```
12
Lattice="4.916 -3.174 0.000 4.916 3.174 0.000 -2.438 0.000 7.107" Properties=species:S:1:pos:R:3 pbc="T T T"
Pm 1.228 0.000 2.129
Pm 6.168 0.000 4.978
Al 2.474 0.000 4.976
Al 4.921 0.000 2.131
Zn 3.679 1.358 0.368
Zn -0.014 0.000 5.362
Zn 3.698 1.768 3.553
Zn 3.716 1.358 6.739
Zn 3.679 -1.358 0.368
Zn 3.698 -1.768 3.553
Zn 7.410 0.000 1.745
Zn 3.716 -1.358 6.739
```